Entry 1:
Diffraction record for Zn3Ga2Ag6. The powder XRD pattern is calculated, not measured: it uses a cell relaxed with PBE and copper Kα.

Structure:
a = 4.984 Å, b = 5.380 Å, c = 7.791 Å
α = 90.02°, β = 93.14°, γ = 116.22°
Fractional coordinates of all 11 atoms:
Zn  0.000  0.000  0.000
Zn  0.276  0.716  0.553
Zn  0.724  0.284  0.447
Ga  0.346  0.895  0.214
Ga  0.654  0.105  0.786
Ag  0.195  0.189  0.634
Ag  0.229  0.360  0.275
Ag  0.277  0.590  0.920
Ag  0.723  0.410  0.080
Ag  0.771  0.640  0.725
Ag  0.805  0.811  0.366

Peak list (10 most intense, 10 to 80 degrees two-theta, in order of rising 2θ)
Position (°2θ)  d/Å  I (rel.)
31.29  2.859  136
36.11  2.487  325
39.10  2.304  178
39.37  2.288  1000
39.77  2.266  401
40.43  2.231  282
41.09  2.197  490
41.34  2.184  477
42.47  2.129  241
62.20  1.492  144

Entry 2:
Diffraction record for ZnGa2Ag3. The powder XRD pattern is calculated, not measured: it uses a cell relaxed with PBE and copper Kα.

Structure:
a = 4.852 Å, b = 8.773 Å, c = 4.844 Å
α = 90.00°, β = 90.00°, γ = 90.00°
Fractional coordinates of all 12 atoms:
Zn  0.250  0.250  0.098
Zn  0.750  0.750  0.902
Ga  0.250  0.584  0.096
Ga  0.250  0.916  0.096
Ga  0.750  0.084  0.904
Ga  0.750  0.416  0.904
Ag  0.250  0.085  0.599
Ag  0.250  0.415  0.599
Ag  0.250  0.750  0.603
Ag  0.750  0.250  0.397
Ag  0.750  0.585  0.401
Ag  0.750  0.915  0.401

Peak list (10 most intense, 10 to 80 degrees two-theta, in order of rising 2θ)
Position (°2θ)  d/Å  I (rel.)
35.87  2.504  411
37.06  2.426  540
40.55  2.225  1000
41.68  2.167  643
52.53  1.742  234
66.10  1.413  152
69.15  1.358  215
69.94  1.345  131
78.28  1.221  186
79.01  1.212  207

Entry 3:
Diffraction record for Zn2Ga7Ag2. The powder XRD pattern is calculated, not measured: it uses a cell relaxed with PBE and copper Kα.

Structure:
a = 6.260 Å, b = 6.260 Å, c = 11.386 Å
α = 96.85°, β = 96.85°, γ = 110.33°
Fractional coordinates of all 22 atoms:
Zn  0.015  0.722  0.506
Zn  0.278  0.985  0.994
Zn  0.722  0.015  0.006
Zn  0.985  0.278  0.494
Ga  0.002  0.221  0.859
Ga  0.164  0.311  0.111
Ga  0.165  0.835  0.750
Ga  0.221  0.002  0.359
Ga  0.311  0.164  0.611
Ga  0.371  0.605  0.891
Ga  0.395  0.629  0.609
Ga  0.605  0.371  0.391
Ga  0.629  0.395  0.109
Ga  0.689  0.836  0.389
Ga  0.779  0.998  0.641
Ga  0.835  0.165  0.250
Ga  0.836  0.689  0.889
Ga  0.998  0.779  0.141
Ag  0.241  0.544  0.346
Ag  0.456  0.759  0.154
Ag  0.544  0.241  0.846
Ag  0.759  0.456  0.654

Peak list (10 most intense, 10 to 80 degrees two-theta, in order of rising 2θ)
Position (°2θ)  d/Å  I (rel.)
32.15  2.784  251
33.22  2.697  316
34.92  2.569  666
38.78  2.322  294
39.65  2.273  619
40.83  2.210  383
41.71  2.165  303
42.84  2.111  1000
47.16  1.927  275
48.20  1.888  214

Entry 4:
Diffraction record for Zn2Ga6Ag. The powder XRD pattern is calculated, not measured: it uses a cell relaxed with PBE and copper Kα.

Structure:
a = 6.066 Å, b = 6.066 Å, c = 6.066 Å
α = 63.04°, β = 63.04°, γ = 63.04°
Fractional coordinates of all 9 atoms:
Zn  0.000  0.000  0.000
Zn  0.182  0.182  0.182
Ga  0.163  0.661  0.399
Ga  0.340  0.591  0.842
Ga  0.399  0.163  0.661
Ga  0.591  0.842  0.340
Ga  0.661  0.399  0.163
Ga  0.842  0.340  0.591
Ag  0.817  0.817  0.817

Peak list (10 most intense, 10 to 80 degrees two-theta, in order of rising 2θ)
Position (°2θ)  d/Å  I (rel.)
33.20  2.698  374
33.80  2.652  1000
34.97  2.566  697
44.06  2.055  485
45.44  1.996  366
47.28  1.923  533
49.80  1.831  260
50.67  1.802  208
69.72  1.349  164
76.79  1.241  259

Entry 5:
Diffraction record for Zn2Ga2Ag5. The powder XRD pattern is calculated, not measured: it uses a cell relaxed with PBE and copper Kα.

Structure:
a = 9.366 Å, b = 9.366 Å, c = 9.366 Å
α = 58.21°, β = 149.39°, γ = 131.77°
Fractional coordinates of all 18 atoms:
Zn  0.000  0.000  0.000
Zn  0.000  0.500  0.500
Zn  0.216  0.030  0.687
Zn  0.343  0.530  0.313
Ga  0.598  0.241  0.517
Ga  0.598  0.581  0.858
Ga  0.724  0.081  0.483
Ga  0.724  0.741  0.142
Ag  0.025  0.134  0.218
Ag  0.025  0.307  0.391
Ag  0.246  0.407  0.016
Ag  0.246  0.731  0.339
Ag  0.391  0.231  0.984
Ag  0.391  0.907  0.661
Ag  0.550  0.873  0.177
Ag  0.696  0.373  0.823
Ag  0.916  0.634  0.609
Ag  0.916  0.807  0.782

Peak list (10 most intense, 10 to 80 degrees two-theta, in order of rising 2θ)
Position (°2θ)  d/Å  I (rel.)
33.87  2.646  215
36.35  2.472  420
38.67  2.328  137
39.53  2.280  997
39.76  2.267  1000
40.62  2.221  557
41.82  2.160  404
55.63  1.652  228
58.96  1.566  142
63.82  1.458  166

Entry 6:
Diffraction record for ZnGa4Ag4. The powder XRD pattern is calculated, not measured: it uses a cell relaxed with PBE and copper Kα.

Structure:
a = 6.556 Å, b = 6.556 Å, c = 6.556 Å
α = 95.44°, β = 95.44°, γ = 144.13°
Fractional coordinates of all 9 atoms:
Zn  0.000  0.000  0.000
Ga  0.000  0.331  0.331
Ga  0.000  0.669  0.669
Ga  0.331  0.000  0.331
Ga  0.669  0.000  0.669
Ag  0.335  0.335  0.671
Ag  0.335  0.665  0.000
Ag  0.665  0.335  0.000
Ag  0.665  0.665  0.329

Peak list (10 most intense, 10 to 80 degrees two-theta, in order of rising 2θ)
Position (°2θ)  d/Å  I (rel.)
14.20  6.238  17
20.13  4.411  21
24.24  3.672  34
37.85  2.377  1000
43.53  2.079  333
44.89  2.019  152
63.25  1.470  104
64.31  1.448  197
76.13  1.250  237
78.09  1.224  112

Entry 7:
Diffraction record for Zn6Ga8Ag. The powder XRD pattern is calculated, not measured: it uses a cell relaxed with PBE and copper Kα.

Structure:
a = 7.433 Å, b = 7.433 Å, c = 5.785 Å
α = 90.00°, β = 90.00°, γ = 120.00°
Fractional coordinates of all 15 atoms:
Zn  0.000  0.338  0.178
Zn  0.000  0.662  0.822
Zn  0.338  0.000  0.178
Zn  0.338  0.338  0.822
Zn  0.662  0.000  0.822
Zn  0.662  0.662  0.178
Ga  0.000  0.331  0.646
Ga  0.000  0.669  0.354
Ga  0.331  0.000  0.646
Ga  0.331  0.331  0.354
Ga  0.333  0.667  0.000
Ga  0.667  0.333  0.000
Ga  0.669  0.000  0.354
Ga  0.669  0.669  0.646
Ag  0.000  0.000  0.000

Peak list (10 most intense, 10 to 80 degrees two-theta, in order of rising 2θ)
Position (°2θ)  d/Å  I (rel.)
15.32  5.785  90
23.94  3.716  90
28.55  3.127  342
39.48  2.283  1000
42.11  2.146  827
53.54  1.712  74
59.09  1.563  291
69.78  1.348  151
75.20  1.264  275
76.97  1.239  128

Entry 8:
Diffraction record for ZnGa3Ag5. The powder XRD pattern is calculated, not measured: it uses a cell relaxed with PBE and copper Kα.

Structure:
a = 7.827 Å, b = 7.827 Å, c = 7.827 Å
α = 119.61°, β = 119.61°, γ = 90.67°
Fractional coordinates of all 18 atoms:
Zn  0.250  0.750  0.500
Zn  0.750  0.250  0.500
Ga  0.110  0.610  0.721
Ga  0.250  0.250  0.000
Ga  0.390  0.110  0.500
Ga  0.610  0.890  0.500
Ga  0.750  0.750  0.000
Ga  0.890  0.390  0.279
Ag  0.000  0.000  0.000
Ag  0.069  0.166  0.500
Ag  0.166  0.666  0.097
Ag  0.334  0.431  0.500
Ag  0.431  0.931  0.097
Ag  0.500  0.500  0.000
Ag  0.569  0.069  0.903
Ag  0.666  0.569  0.500
Ag  0.834  0.334  0.903
Ag  0.931  0.834  0.500

Peak list (10 most intense, 10 to 80 degrees two-theta, in order of rising 2θ)
Position (°2θ)  d/Å  I (rel.)
32.16  2.783  702
35.34  2.540  564
36.08  2.489  254
39.74  2.268  118
39.98  2.255  1000
42.19  2.142  220
48.38  1.881  249
48.80  1.866  128
54.15  1.694  156
62.65  1.483  153

Entry 9:
Diffraction record for Zn2Ga3Ag7. The powder XRD pattern is calculated, not measured: it uses a cell relaxed with PBE and copper Kα.

Structure:
a = 5.372 Å, b = 2.855 Å, c = 13.781 Å
α = 90.00°, β = 95.60°, γ = 90.00°
Fractional coordinates of all 12 atoms:
Zn  0.078  0.000  0.173
Zn  0.922  0.000  0.827
Ga  0.455  0.500  0.839
Ga  0.500  0.000  0.500
Ga  0.545  0.500  0.161
Ag  0.000  0.500  0.500
Ag  0.222  0.000  0.675
Ag  0.247  0.000  0.990
Ag  0.286  0.500  0.334
Ag  0.714  0.500  0.666
Ag  0.753  0.000  0.010
Ag  0.778  0.000  0.325

Peak list (10 most intense, 10 to 80 degrees two-theta, in order of rising 2θ)
Position (°2θ)  d/Å  I (rel.)
36.58  2.457  636
37.27  2.412  950
38.65  2.329  1000
39.42  2.286  926
40.73  2.215  770
43.60  2.076  896
61.12  1.516  321
61.28  1.513  268
77.74  1.228  376
79.10  1.211  234

Entry 10:
Diffraction record for ZnGa6Ag5. The powder XRD pattern is calculated, not measured: it uses a cell relaxed with PBE and copper Kα.

Structure:
a = 5.243 Å, b = 5.243 Å, c = 8.955 Å
α = 96.66°, β = 96.66°, γ = 117.55°
Fractional coordinates of all 12 atoms:
Zn  0.000  0.000  0.000
Ga  0.083  0.412  0.248
Ga  0.254  0.254  0.752
Ga  0.412  0.083  0.248
Ga  0.588  0.917  0.752
Ga  0.746  0.746  0.248
Ga  0.917  0.588  0.752
Ag  0.168  0.832  0.500
Ag  0.331  0.669  0.000
Ag  0.500  0.500  0.500
Ag  0.669  0.331  0.000
Ag  0.832  0.168  0.500

Peak list (10 most intense, 10 to 80 degrees two-theta, in order of rising 2θ)
Position (°2θ)  d/Å  I (rel.)
35.49  2.530  567
37.11  2.423  1000
41.38  2.182  366
43.76  2.069  310
44.05  2.056  608
59.68  1.549  236
67.85  1.381  158
73.61  1.287  124
74.43  1.275  120
76.00  1.252  113

Entry 11:
Diffraction record for Zn8Ga2Ag3. The powder XRD pattern is calculated, not measured: it uses a cell relaxed with PBE and copper Kα.

Structure:
a = 10.068 Å, b = 10.068 Å, c = 10.068 Å
α = 29.56°, β = 29.56°, γ = 29.56°
Fractional coordinates of all 13 atoms:
Zn  0.227  0.227  0.227
Zn  0.232  0.232  0.730
Zn  0.232  0.730  0.232
Zn  0.270  0.768  0.768
Zn  0.730  0.232  0.232
Zn  0.768  0.270  0.768
Zn  0.768  0.768  0.270
Zn  0.773  0.773  0.773
Ga  0.143  0.143  0.143
Ga  0.857  0.857  0.857
Ag  0.318  0.318  0.318
Ag  0.500  0.500  0.500
Ag  0.682  0.682  0.682

Peak list (10 most intense, 10 to 80 degrees two-theta, in order of rising 2θ)
Position (°2θ)  d/Å  I (rel.)
34.94  2.568  606
39.79  2.265  598
39.89  2.260  1000
41.06  2.198  637
42.53  2.125  305
43.61  2.075  309
45.67  1.987  203
65.98  1.416  543
69.67  1.350  170
73.79  1.284  295

Entry 12:
Diffraction record for Zn5Ga4Ag. The powder XRD pattern is calculated, not measured: it uses a cell relaxed with PBE and copper Kα.

Structure:
a = 20.659 Å, b = 20.659 Å, c = 20.659 Å
α = 8.55°, β = 8.55°, γ = 8.55°
Fractional coordinates of all 10 atoms:
Zn  0.000  0.000  0.000
Zn  0.201  0.201  0.201
Zn  0.399  0.399  0.399
Zn  0.601  0.601  0.601
Zn  0.799  0.799  0.799
Ga  0.099  0.099  0.099
Ga  0.300  0.300  0.300
Ga  0.700  0.700  0.700
Ga  0.901  0.901  0.901
Ag  0.500  0.500  0.500

Peak list (10 most intense, 10 to 80 degrees two-theta, in order of rising 2θ)
Position (°2θ)  d/Å  I (rel.)
12.90  6.861  12
36.69  2.449  1000
39.42  2.286  9
43.99  2.058  194
44.90  2.019  551
60.05  1.541  225
70.47  1.336  129
72.48  1.304  125
77.37  1.233  201
78.02  1.225  100